[1]
This entry pairs a crystal structure of Cs2Ga2B2O7 with its simulated X-ray diffraction stick pattern. Radiation: Cu Kα, 1.54184 Å. Structure: the PBE geometry in the Materials Project.

Most intense lines, 10° ≤ 2θ ≤ 90°, low angle first:
Position (°2θ), I (rel.)
22.04, 22
24.49, 23
24.63, 70
25.95, 100
27.93, 34
29.68, 50
31.21, 61
31.72, 71
43.99, 22
47.10, 22

Cell and atoms:
Cell: 9.022 8.144 12.406 Å, 90.00 103.92 90.00°
Space group P2_1/c (No. 14)
Asymmetric unit:
1 Cs 0.034 0.124 0.131 [4 per cell]
2 Cs 0.432 0.621 0.847 [4 per cell]
3 Ga 0.186 0.564 0.131 [4 per cell]
4 Ga 0.339 0.111 0.887 [4 per cell]
5 B 0.148 0.109 0.422 [4 per cell]
6 B 0.331 0.643 0.564 [4 per cell]
7 O 0.018 0.017 0.377 [4 per cell]
8 O 0.191 0.227 0.355 [4 per cell]
9 O 0.204 0.718 0.589 [4 per cell]
10 O 0.239 0.079 0.527 [4 per cell]
11 O 0.307 0.009 0.014 [4 per cell]
12 O 0.312 0.532 0.269 [4 per cell]
13 O 0.472 0.719 0.593 [4 per cell]

---

[2]
This entry pairs a crystal structure of Li2CuF5 with its simulated X-ray diffraction stick pattern. Radiation: Cu Kα, 1.54184 Å. Structure: the PBE geometry in the Materials Project.

Most intense lines, 10° ≤ 2θ ≤ 90°, low angle first:
Position (°2θ), I (rel.)
11.23, 100
16.50, 50
18.65, 50
22.10, 85
28.18, 39
29.01, 32
30.22, 71
30.38, 31
31.17, 45
32.79, 34

Cell and atoms:
Cell: 7.884 7.346 6.251 Å, 90.00 92.17 90.00°
Space group P2_1/c (No. 14)
Asymmetric unit:
1 Li 0.006 0.128 0.321 [4 per cell]
2 Li 0.328 0.147 0.559 [4 per cell]
3 Cu 0.341 0.608 0.613 [4 per cell]
4 F 0.105 0.100 0.623 [4 per cell]
5 F 0.125 0.660 0.541 [4 per cell]
6 F 0.275 0.104 0.232 [4 per cell]
7 F 0.402 0.684 0.985 [4 per cell]
8 F 0.435 0.063 0.825 [4 per cell]

---

[3]
This entry pairs a crystal structure of MgMnTlV4S8 with its simulated X-ray diffraction stick pattern. Radiation: Cu Kα, 1.54184 Å. Structure: the PBE geometry in the Materials Project.

Most intense lines, 10° ≤ 2θ ≤ 90°, low angle first:
Position (°2θ), I (rel.)
19.76, 52
19.91, 57
20.56, 68
26.70, 44
33.62, 98
33.96, 53
34.93, 52
35.68, 47
40.13, 100
47.51, 71

Cell and atoms:
Cell: 3.399 9.118 9.567 Å, 71.62 79.77 90.00°
Space group P1 (No. 1)
Asymmetric unit:
1 Mg 0.000 0.000 0.000 [1 per cell]
2 Mn 0.657 0.614 0.688 [1 per cell]
3 Tl 0.190 0.131 0.626 [1 per cell]
4 V 0.287 0.616 0.428 [1 per cell]
5 V 0.342 0.959 0.316 [1 per cell]
6 V 0.937 0.335 0.127 [1 per cell]
7 V 0.976 0.664 0.048 [1 per cell]
8 S 0.063 0.521 0.876 [1 per cell]
9 S 0.215 0.789 0.572 [1 per cell]
10 S 0.396 0.489 0.208 [1 per cell]
11 S 0.469 0.169 0.061 [1 per cell]
12 S 0.546 0.848 0.908 [1 per cell]
13 S 0.724 0.442 0.553 [1 per cell]
14 S 0.817 0.126 0.367 [1 per cell]
15 S 0.872 0.789 0.256 [1 per cell]

---

[4]
This entry pairs a crystal structure of CeUO4 with its simulated X-ray diffraction stick pattern. Radiation: Cu Kα, 1.54184 Å. Structure: the PBE geometry in the Materials Project.

Most intense lines, 10° ≤ 2θ ≤ 90°, low angle first:
Position (°2θ), I (rel.)
28.31, 100
28.56, 32
32.88, 45
47.03, 34
47.34, 33
55.80, 15
55.94, 30
56.22, 15
75.90, 13
87.65, 12

Cell and atoms:
Cell: 3.8647 3.8647 18.7552 Å, 90.00 90.00 120.00°
Space group R-3m (No. 166, hexagonal axes)
Asymmetric unit:
1 Ce 0.0000 0.0000 0.0000 [3 per cell]
2 U 0.0000 0.0000 0.5000 [3 per cell]
3 O 0.0000 0.0000 0.1297 [6 per cell]
4 O 0.0000 0.0000 0.3806 [6 per cell]

---

What is the formula in the third record? MgMnTlV4S8

---

Copy entry 4 word for word.
This entry pairs a crystal structure of CeUO4 with its simulated X-ray diffraction stick pattern. Radiation: Cu Kα, 1.54184 Å. Structure: the PBE geometry in the Materials Project.

Most intense lines, 10° ≤ 2θ ≤ 90°, low angle first:
Position (°2θ), I (rel.)
28.31, 100
28.56, 32
32.88, 45
47.03, 34
47.34, 33
55.80, 15
55.94, 30
56.22, 15
75.90, 13
87.65, 12

Cell and atoms:
Cell: 3.8647 3.8647 18.7552 Å, 90.00 90.00 120.00°
Space group R-3m (No. 166, hexagonal axes)
Asymmetric unit:
1 Ce 0.0000 0.0000 0.0000 [3 per cell]
2 U 0.0000 0.0000 0.5000 [3 per cell]
3 O 0.0000 0.0000 0.1297 [6 per cell]
4 O 0.0000 0.0000 0.3806 [6 per cell]